(1)
The following is a calculated XRD peak list of Tb5NdTl4. It was derived from DFT lattice parameters and positions (GGA-PBE), using Cu Kα.

The 8 most intense peaks (10 to 80 degrees two-theta), by intensity:
2θ (°)	I_rel
31.99	100.0
35.07	43.4
60.99	32.1
54.97	16.0
50.44	15.6
40.93	9.4
66.90	8.9
34.79	7.8

Cell and atoms:
Cell lengths 3.6183, 3.6183, 22.0518 Å; angles 90.00, 90.00, 90.00 degrees
Fractional positions:
Tb 0.0000 0.0000 0.0000
Tb 0.0000 0.0000 0.1920
Tb 0.0000 0.0000 0.3829
Tb 0.0000 0.0000 0.6171
Tb 0.0000 0.0000 0.8080
Nd 0.5000 0.5000 0.5000
Tl 0.5000 0.5000 0.0958
Tl 0.5000 0.5000 0.2881
Tl 0.5000 0.5000 0.7119
Tl 0.5000 0.5000 0.9042


(2)
The following is a calculated XRD peak list of TbNd7Tl2. It was derived from DFT lattice parameters and positions (GGA-PBE), using Cu Kα.

The 8 most intense peaks (10 to 80 degrees two-theta), by intensity:
2θ (°)	I_rel
33.70	100.0
33.52	64.3
33.13	64.1
29.17	60.8
16.40	51.9
59.41	39.5
44.72	38.0
27.57	37.5

Cell and atoms:
Cell lengths 9.3429, 9.3429, 5.4061 Å; angles 90.00, 90.00, 119.60 degrees
Fractional positions:
Tb 0.0000 0.0000 0.0000
Nd 0.0625 0.3009 0.5000
Nd 0.2230 0.7770 0.0000
Nd 0.3009 0.0625 0.5000
Nd 0.5000 0.5000 0.5000
Nd 0.6991 0.9375 0.5000
Nd 0.7770 0.2230 0.0000
Nd 0.9375 0.6991 0.5000
Tl 0.3064 0.6936 0.5000
Tl 0.6936 0.3064 0.5000


(3)
The following is a calculated XRD peak list of Tb3NdTl. It was derived from DFT lattice parameters and positions (GGA-PBE), using Cu Kα.

The 8 most intense peaks (10 to 80 degrees two-theta), by intensity:
2θ (°)	I_rel
32.31	100.0
31.04	92.2
32.47	66.7
34.12	44.5
29.21	44.0
35.46	31.2
35.95	20.3
26.17	20.0

Cell and atoms:
Cell lengths 5.5965, 6.8965, 8.3351 Å; angles 85.08, 82.38, 89.52 degrees
Fractional positions:
Tb 0.1897 0.0321 0.2554
Tb 0.2174 0.4973 0.3393
Tb 0.2906 0.2189 0.7942
Tb 0.7094 0.7811 0.2058
Tb 0.7826 0.5027 0.6607
Tb 0.8103 0.9679 0.7446
Nd 0.2658 0.6858 0.9534
Nd 0.7342 0.3142 0.0466
Tl 0.3392 0.7960 0.5757
Tl 0.6608 0.2040 0.4243


(4)
The following is a calculated XRD peak list of Tb2NdYTl2. It was derived from DFT lattice parameters and positions (GGA-PBE), using Cu Kα.

The 8 most intense peaks (10 to 80 degrees two-theta), by intensity:
2θ (°)	I_rel
31.69	100.0
32.62	72.3
34.65	47.6
31.36	40.4
34.38	25.2
37.50	17.4
60.81	14.6
29.59	14.1

Cell and atoms:
Cell lengths 5.1780, 10.0963, 6.8363 Å; angles 90.00, 90.00, 90.00 degrees
Fractional positions:
Tb 0.0000 0.0435 0.0000
Tb 0.0000 0.9565 0.5000
Tb 0.5000 0.1818 0.2826
Tb 0.5000 0.8182 0.7826
Nd 0.5000 0.4586 0.9118
Nd 0.5000 0.5414 0.4118
Y 0.0000 0.3102 0.6346
Y 0.0000 0.6898 0.1346
Tl 0.0000 0.3620 0.1722
Tl 0.0000 0.6380 0.6722
Tl 0.5000 0.1348 0.7475
Tl 0.5000 0.8652 0.2475


(5)
The following is a calculated XRD peak list of Tb8Nd5Tm. It was derived from DFT lattice parameters and positions (GGA-PBE), using Cu Kα.

The 8 most intense peaks (10 to 80 degrees two-theta), by intensity:
2θ (°)	I_rel
33.68	100.0
29.08	86.4
29.21	74.5
28.00	72.7
34.25	56.6
34.52	30.4
34.66	29.3
31.57	24.0

Cell and atoms:
Cell lengths 8.4976, 8.4976, 9.6644 Å; angles 124.49, 124.49, 73.13 degrees
Fractional positions:
Tb 0.0239 0.3321 0.7629
Tb 0.0705 0.0705 0.2440
Tb 0.2536 0.5733 0.5918
Tb 0.4267 0.7464 0.4082
Tb 0.5121 0.1402 0.8968
Tb 0.6679 0.9761 0.2371
Tb 0.8598 0.4879 0.1032
Tb 0.9295 0.9295 0.7560
Nd 0.0930 0.9070 0.5000
Nd 0.3001 0.2727 0.1772
Nd 0.5631 0.2201 0.6051
Nd 0.7273 0.6999 0.8228
Nd 0.7799 0.4369 0.3949
Tm 0.3434 0.6566 0.0000


(6)
The following is a calculated XRD peak list of Tb5Nd12Tm2. It was derived from DFT lattice parameters and positions (GGA-PBE), using Cu Kα.

The 8 most intense peaks (10 to 80 degrees two-theta), by intensity:
2θ (°)	I_rel
30.35	100.0
30.77	79.1
33.63	35.6
34.63	29.5
37.93	20.1
49.04	18.1
59.92	14.0
51.58	14.0

Cell and atoms:
Cell lengths 9.2997, 9.2997, 8.0835 Å; angles 93.20, 93.20, 69.95 degrees
Fractional positions:
Tb 0.0000 0.0000 0.0000
Tb 0.2415 0.2415 0.9854
Tb 0.3436 0.3436 0.4062
Tb 0.6564 0.6564 0.5938
Tb 0.7585 0.7585 0.0146
Nd 0.0408 0.5894 0.7077
Nd 0.1299 0.1299 0.6033
Nd 0.1667 0.6205 0.1151
Nd 0.3795 0.8333 0.8849
Nd 0.4106 0.9592 0.2923
Nd 0.4457 0.4457 0.7887
Nd 0.5543 0.5543 0.2113
Nd 0.5894 0.0408 0.7077
Nd 0.6205 0.1667 0.1151
Nd 0.8333 0.3795 0.8849
Nd 0.8701 0.8701 0.3967
Nd 0.9592 0.4106 0.2923
Tm 0.2708 0.7292 0.5000
Tm 0.7292 0.2708 0.5000